Record 1
The following is a theoretical powder XRD pattern of Al4CO. It was derived from a PBE-relaxed structure, using Cu Kα, 1.54184 Å.

Principal peaks in the range 2θ = 5–70°, in order of rising 2θ:
32.2 deg, rel. 100
32.6 deg, rel. 32
37.5 deg, rel. 47
38.6 deg, rel. 68
40.2 deg, rel. 72
44.0 deg, rel. 32
57.1 deg, rel. 32
57.9 deg, rel. 45

Crystal structure
a = 5.3700 Å, b = 5.3700 Å, c = 5.5030 Å
α = 117.33°, β = 117.33°, γ = 34.98°
Positions (direct):
Al (0.0000, 0.0000, 0.0000)
Al (0.2731, 0.2731, 0.5844)
Al (0.5305, 0.5305, 0.4554)
Al (0.7279, 0.7279, 0.9987)
C (0.4958, 0.4958, 0.7798)
O (0.2272, 0.2272, 0.2015)



Record 2
The following is a theoretical powder XRD pattern of Al4CO. It was derived from a PBE-relaxed structure, using Cu Kα, 1.54184 Å.

Principal peaks in the range 2θ = 5–70°, in order of rising 2θ:
24.8 deg, rel. 32
34.5 deg, rel. 80
35.3 deg, rel. 53
38.9 deg, rel. 54
39.1 deg, rel. 33
39.6 deg, rel. 36
39.7 deg, rel. 56
39.8 deg, rel. 100

Crystal structure
a = 2.9303 Å, b = 5.0871 Å, c = 5.2004 Å
α = 88.59°, β = 88.95°, γ = 89.50°
Positions (direct):
Al (0.0000, 0.0000, 0.0000)
Al (0.0102, 0.6887, 0.4899)
Al (0.5076, 0.4691, 0.9411)
Al (0.5212, 0.1326, 0.5171)
C (0.0153, 0.3450, 0.6943)
O (0.0056, 0.6297, 0.1353)



Record 3
The following is a theoretical powder XRD pattern of Al4CO. It was derived from a PBE-relaxed structure, using Cu Kα, 1.54184 Å.

Principal peaks in the range 2θ = 5–70°, in order of rising 2θ:
34.6 deg, rel. 64
35.3 deg, rel. 46
38.9 deg, rel. 68
39.3 deg, rel. 31
39.6 deg, rel. 100
49.4 deg, rel. 26
50.6 deg, rel. 30
63.0 deg, rel. 35

Crystal structure
a = 2.9297 Å, b = 5.1232 Å, c = 5.1807 Å
α = 91.26°, β = 91.46°, γ = 90.02°
Positions (direct):
Al (0.0000, 0.0000, 0.0000)
Al (0.0111, 0.6931, 0.5105)
Al (0.4876, 0.5570, 0.0269)
Al (0.5031, 0.2270, 0.4526)
C (0.9932, 0.3429, 0.2013)
O (0.0059, 0.0614, 0.6439)



Record 4
The following is a theoretical powder XRD pattern of Al2CO. It was derived from a PBE-relaxed structure, using Cu Kα, 1.54184 Å.

Principal peaks in the range 2θ = 5–70°, in order of rising 2θ:
21.7 deg, rel. 1
29.6 deg, rel. 100
37.0 deg, rel. 35
44.3 deg, rel. 38
52.6 deg, rel. 65
54.2 deg, rel. 30
61.5 deg, rel. 10
66.1 deg, rel. 9

Crystal structure
a = 3.4817 Å, b = 3.4817 Å, c = 4.0876 Å
α = 90.00°, β = 90.00°, γ = 120.00°
Positions (direct):
Al (0.0000, 0.0000, 0.0000)
Al (0.3333, 0.6667, 0.5000)
C (0.0000, 0.0000, 0.5000)
O (0.3333, 0.6667, 0.0000)



Record 5
The following is a theoretical powder XRD pattern of Sc3Al3C2O5. It was derived from a PBE-relaxed structure, using Cu Kα, 1.54184 Å.

Principal peaks in the range 2θ = 5–70°, in order of rising 2θ:
16.7 deg, rel. 29
32.7 deg, rel. 25
33.5 deg, rel. 100
34.6 deg, rel. 25
37.4 deg, rel. 25
42.7 deg, rel. 48
56.1 deg, rel. 76
59.1 deg, rel. 26

Crystal structure
a = 3.2765 Å, b = 3.2765 Å, c = 31.8119 Å
α = 90.00°, β = 90.00°, γ = 120.00°
Positions (direct):
Sc (0.0000, 0.0000, 0.0000)
Sc (0.0000, 0.0000, 0.5000)
Sc (0.3333, 0.6667, 0.1591)
Sc (0.3333, 0.6667, 0.3409)
Sc (0.6667, 0.3333, 0.6591)
Sc (0.6667, 0.3333, 0.8409)
Al (0.0000, 0.0000, 0.2500)
Al (0.0000, 0.0000, 0.7500)
Al (0.3333, 0.6667, 0.5685)
Al (0.3333, 0.6667, 0.9315)
Al (0.6667, 0.3333, 0.0685)
Al (0.6667, 0.3333, 0.4315)
C (0.3333, 0.6667, 0.0459)
C (0.3333, 0.6667, 0.4541)
C (0.6667, 0.3333, 0.5459)
C (0.6667, 0.3333, 0.9541)
O (0.0000, 0.0000, 0.1909)
O (0.0000, 0.0000, 0.3091)
O (0.0000, 0.0000, 0.6909)
O (0.0000, 0.0000, 0.8091)
O (0.3333, 0.6667, 0.2500)
O (0.3333, 0.6667, 0.6270)
O (0.3333, 0.6667, 0.8730)
O (0.6667, 0.3333, 0.1270)
O (0.6667, 0.3333, 0.3730)
O (0.6667, 0.3333, 0.7500)



Record 6
The following is a theoretical powder XRD pattern of ScAlCO. It was derived from a PBE-relaxed structure, using Cu Kα, 1.54184 Å.

Principal peaks in the range 2θ = 5–70°, in order of rising 2θ:
17.3 deg, rel. 32
32.9 deg, rel. 78
35.1 deg, rel. 23
36.3 deg, rel. 100
41.5 deg, rel. 75
55.4 deg, rel. 25
56.4 deg, rel. 60
63.7 deg, rel. 30

Crystal structure
a = 3.2632 Å, b = 3.2632 Å, c = 10.2364 Å
α = 90.00°, β = 90.00°, γ = 120.00°
Positions (direct):
Sc (0.3333, 0.6667, 0.0000)
Sc (0.6667, 0.3333, 0.5000)
Al (0.0000, 0.0000, 0.2159)
Al (0.0000, 0.0000, 0.7159)
C (0.3333, 0.6667, 0.6378)
C (0.6667, 0.3333, 0.1378)
O (0.0000, 0.0000, 0.3931)
O (0.0000, 0.0000, 0.8931)



Record 7
The following is a theoretical powder XRD pattern of Sc2Al4C3O3. It was derived from a PBE-relaxed structure, using Cu Kα, 1.54184 Å.

Principal peaks in the range 2θ = 5–70°, in order of rising 2θ:
12.4 deg, rel. 25
31.9 deg, rel. 54
32.5 deg, rel. 74
35.1 deg, rel. 53
37.3 deg, rel. 79
46.1 deg, rel. 57
54.6 deg, rel. 100
65.0 deg, rel. 49

Crystal structure
a = 14.4134 Å, b = 14.4134 Å, c = 14.4134 Å
α = 13.39°, β = 13.39°, γ = 13.39°
Positions (direct):
Sc (0.0000, 0.0000, 0.0000)
Sc (0.4966, 0.4966, 0.4966)
Al (0.2332, 0.2332, 0.2332)
Al (0.3837, 0.3837, 0.3837)
Al (0.6168, 0.6168, 0.6168)
Al (0.7693, 0.7693, 0.7693)
C (0.2909, 0.2909, 0.2909)
C (0.4284, 0.4284, 0.4284)
C (0.6938, 0.6938, 0.6938)
O (0.1924, 0.1924, 0.1924)
O (0.5722, 0.5722, 0.5722)
O (0.8139, 0.8139, 0.8139)



Record 8
The following is a theoretical powder XRD pattern of ScAlCO. It was derived from a PBE-relaxed structure, using Cu Kα, 1.54184 Å.

Principal peaks in the range 2θ = 5–70°, in order of rising 2θ:
17.6 deg, rel. 21
33.6 deg, rel. 100
35.6 deg, rel. 10
39.6 deg, rel. 59
43.6 deg, rel. 20
55.9 deg, rel. 44
58.6 deg, rel. 19
66.9 deg, rel. 12

Crystal structure
a = 10.2707 Å, b = 10.2707 Å, c = 10.2707 Å
α = 18.42°, β = 18.42°, γ = 18.42°
Positions (direct):
Sc (0.0000, 0.0000, 0.0000)
Sc (0.5000, 0.5000, 0.5000)
Al (0.2386, 0.2386, 0.2386)
Al (0.7614, 0.7614, 0.7614)
C (0.1184, 0.1184, 0.1184)
C (0.8816, 0.8816, 0.8816)
O (0.2999, 0.2999, 0.2999)
O (0.7001, 0.7001, 0.7001)



Record 9
The following is a theoretical powder XRD pattern of AlSi5C2O12. It was derived from a PBE-relaxed structure, using Cu Kα, 1.54184 Å.

Principal peaks in the range 2θ = 5–70°, in order of rising 2θ:
13.7 deg, rel. 100
13.8 deg, rel. 19
19.3 deg, rel. 13
19.5 deg, rel. 21
23.7 deg, rel. 27
23.9 deg, rel. 63
24.0 deg, rel. 16
33.9 deg, rel. 12

Crystal structure
a = 7.9269 Å, b = 7.9269 Å, c = 7.8696 Å
α = 109.62°, β = 109.62°, γ = 109.05°
Positions (direct):
Al (0.0000, 0.0000, 0.0000)
Si (0.2522, 0.5013, 0.2499)
Si (0.2570, 0.0016, 0.7503)
Si (0.4987, 0.7478, 0.7501)
Si (0.5029, 0.4971, 0.0000)
Si (0.9984, 0.7430, 0.2497)
C (0.7717, 0.2278, 0.4151)
C (0.7722, 0.2283, 0.5849)
O (0.0422, 0.8854, 0.1498)
O (0.1035, 0.6005, 0.2041)
O (0.1065, 0.2619, 0.1562)
O (0.1070, 0.8930, 0.5000)
O (0.1146, 0.9578, 0.8502)
O (0.3961, 0.6039, 0.5000)
O (0.3978, 0.5405, 0.1446)
O (0.3995, 0.8965, 0.7959)
O (0.4040, 0.2498, 0.8514)
O (0.4595, 0.6023, 0.8554)
O (0.7381, 0.8935, 0.8438)
O (0.7502, 0.5960, 0.1486)